1.
The following is a computed powder X-ray diffraction pattern of Ca2DyGaTe5. It was derived from a DFT-relaxed cell (PBE, Alexandria), using copper Kα.
Intensities are scaled so that the largest is 100.

Largest 10 diffraction maxima, low angle first, 2θ from 10° to 80°:
2θ/deg  I_rel
11.10  19
25.04  23
27.86  58
29.17  100
33.58  52
41.28  16
42.16  26
43.36  17
47.04  26
51.30  22

Structure:
Lattice parameters (Å, degrees): 10.1224 10.1224 13.4547 90.00 90.00 155.55
Fractional positions:
Ca (0.1193, 0.8807, 0.5000)
Ca (0.1234, 0.8766, 0.1449)
Ca (0.8766, 0.1234, 0.6449)
Ca (0.8807, 0.1193, 0.0000)
Dy (0.2042, 0.7958, 0.8457)
Dy (0.7958, 0.2042, 0.3457)
Ga (0.4404, 0.5596, 0.2588)
Ga (0.5596, 0.4404, 0.7588)
Te (0.0438, 0.9562, 0.8767)
Te (0.2923, 0.7077, 0.5048)
Te (0.3147, 0.6853, 0.1797)
Te (0.3570, 0.6430, 0.8261)
Te (0.4972, 0.5028, 0.5894)
Te (0.5028, 0.4972, 0.0894)
Te (0.6430, 0.3570, 0.3261)
Te (0.6853, 0.3147, 0.6797)
Te (0.7077, 0.2923, 0.0048)
Te (0.9562, 0.0438, 0.3767)

***

2.
The following is a computed powder X-ray diffraction pattern of CaDy2Ge4O12. It was derived from a DFT-relaxed cell (PBE, Alexandria), using copper Kα.
Intensities are scaled so that the largest is 100.

Largest 10 diffraction maxima, low angle first, 2θ from 10° to 80°:
2θ/deg  I_rel
12.38  31
21.36  36
27.84  14
30.48  100
35.11  10
35.46  24
45.39  11
50.76  26
60.14  14
60.60  25

Structure:
Lattice parameters (Å, degrees): 10.1266 10.1266 5.1122 90.00 90.00 90.16
Fractional positions:
Ca (0.0000, 0.0000, 0.0000)
Ca (0.5000, 0.5000, 0.0000)
Dy (0.0000, 0.5000, 0.0000)
Dy (0.2500, 0.2500, 0.0000)
Dy (0.5000, 0.0000, 0.0000)
Dy (0.7500, 0.7500, 0.0000)
Ge (0.0210, 0.7501, 0.5049)
Ge (0.2501, 0.5210, 0.5049)
Ge (0.2499, 0.9790, 0.5049)
Ge (0.4790, 0.7499, 0.5049)
Ge (0.5210, 0.2501, 0.4951)
Ge (0.7501, 0.0210, 0.4951)
Ge (0.7499, 0.4790, 0.4951)
Ge (0.9790, 0.2499, 0.4951)
O (0.0577, 0.3273, 0.7584)
O (0.0683, 0.1774, 0.2451)
O (0.1233, 0.6233, 0.6674)
O (0.1304, 0.8696, 0.3517)
O (0.1727, 0.4423, 0.2416)
O (0.1774, 0.0683, 0.7549)
O (0.3226, 0.4317, 0.7549)
O (0.3273, 0.0577, 0.2416)
O (0.3696, 0.6304, 0.3517)
O (0.3767, 0.8767, 0.6674)
O (0.4317, 0.3226, 0.2451)
O (0.4423, 0.1727, 0.7584)
O (0.5577, 0.8273, 0.2416)
O (0.5683, 0.6774, 0.7549)
O (0.6233, 0.1233, 0.3326)
O (0.6304, 0.3696, 0.6483)
O (0.6727, 0.9423, 0.7584)
O (0.6774, 0.5683, 0.2451)
O (0.8226, 0.9317, 0.2451)
O (0.8273, 0.5577, 0.7584)
O (0.8696, 0.1304, 0.6483)
O (0.8767, 0.3767, 0.3326)
O (0.9317, 0.8226, 0.7549)
O (0.9423, 0.6727, 0.2416)

***

3.
The following is a computed powder X-ray diffraction pattern of CaDyNi2H8. It was derived from a DFT-relaxed cell (PBE, Alexandria), using copper Kα.
Intensities are scaled so that the largest is 100.

Largest 10 diffraction maxima, low angle first, 2θ from 10° to 80°:
2θ/deg  I_rel
23.29  34
24.94  9
30.71  100
34.45  28
39.89  53
47.78  21
51.18  29
63.24  14
66.78  20
78.08  9

Structure:
Lattice parameters (Å, degrees): 6.3689 6.3689 6.3689 41.56 41.56 41.56
Fractional positions:
Ca (0.0000, 0.0000, 0.0000)
Dy (0.5000, 0.5000, 0.5000)
Ni (0.2705, 0.2705, 0.2705)
Ni (0.7295, 0.7295, 0.7295)
H (0.0518, 0.0518, 0.5611)
H (0.0518, 0.5611, 0.0518)
H (0.3624, 0.3624, 0.3624)
H (0.4389, 0.9482, 0.9482)
H (0.5611, 0.0518, 0.0518)
H (0.6376, 0.6376, 0.6376)
H (0.9482, 0.4389, 0.9482)
H (0.9482, 0.9482, 0.4389)

***

4.
The following is a computed powder X-ray diffraction pattern of Ca2DyH12Rh3. It was derived from a DFT-relaxed cell (PBE, Alexandria), using copper Kα.
Intensities are scaled so that the largest is 100.

Largest 10 diffraction maxima, low angle first, 2θ from 10° to 80°:
2θ/deg  I_rel
16.68  100
31.78  25
33.19  90
33.73  97
35.87  39
40.72  38
51.60  26
53.51  24
55.34  32
69.67  22

Structure:
Lattice parameters (Å, degrees): 6.0153 6.0153 6.0153 67.00 67.00 67.00
Fractional positions:
Ca (0.1194, 0.1194, 0.1194)
Ca (0.8806, 0.8806, 0.8806)
Dy (0.5000, 0.5000, 0.5000)
H (0.0850, 0.6377, 0.6377)
H (0.2140, 0.2140, 0.6179)
H (0.2140, 0.6179, 0.2140)
H (0.3623, 0.3623, 0.9150)
H (0.3623, 0.9150, 0.3623)
H (0.3821, 0.7860, 0.7860)
H (0.6179, 0.2140, 0.2140)
H (0.6377, 0.0850, 0.6377)
H (0.6377, 0.6377, 0.0850)
H (0.7860, 0.3821, 0.7860)
H (0.7860, 0.7860, 0.3821)
H (0.9150, 0.3623, 0.3623)
Rh (0.0000, 0.5000, 0.5000)
Rh (0.5000, 0.0000, 0.5000)
Rh (0.5000, 0.5000, 0.0000)

***

5.
The following is a computed powder X-ray diffraction pattern of CaDy2Hg2. It was derived from a DFT-relaxed cell (PBE, Alexandria), using copper Kα.
Intensities are scaled so that the largest is 100.

Largest 10 diffraction maxima, low angle first, 2θ from 10° to 80°:
2θ/deg  I_rel
17.70  13
32.44  21
33.32  27
33.47  100
47.19  15
48.91  9
58.53  10
59.64  19
60.47  10
70.32  9

Structure:
Lattice parameters (Å, degrees): 3.7243 5.3779 13.9228 90.00 97.65 90.00
Fractional positions:
Ca (0.1441, 0.2500, 0.2878)
Ca (0.8559, 0.7500, 0.7122)
Dy (0.0487, 0.7500, 0.0961)
Dy (0.2330, 0.7500, 0.4662)
Dy (0.7670, 0.2500, 0.5338)
Dy (0.9513, 0.2500, 0.9039)
Hg (0.3567, 0.2500, 0.7138)
Hg (0.4542, 0.7500, 0.9106)
Hg (0.5458, 0.2500, 0.0894)
Hg (0.6433, 0.7500, 0.2862)

***

6.
The following is a computed powder X-ray diffraction pattern of Ca4DyHg2. It was derived from a DFT-relaxed cell (PBE, Alexandria), using copper Kα.
Intensities are scaled so that the largest is 100.

Largest 10 diffraction maxima, low angle first, 2θ from 10° to 80°:
2θ/deg  I_rel
18.29  100
22.52  17
30.59  17
31.40  85
32.73  42
36.58  19
38.79  26
44.40  38
48.95  17
56.74  17

Structure:
Lattice parameters (Å, degrees): 9.3658 9.3658 9.3658 35.42 35.42 35.42
Fractional positions:
Ca (0.1139, 0.1139, 0.1139)
Ca (0.2734, 0.2734, 0.2734)
Ca (0.7266, 0.7266, 0.7266)
Ca (0.8861, 0.8861, 0.8861)
Dy (0.5000, 0.5000, 0.5000)
Hg (0.3907, 0.3907, 0.3907)
Hg (0.6093, 0.6093, 0.6093)

***

Q: What is the formula in the second record?
A: CaDy2Ge4O12